1.
Structure and simulated powder X-ray diffraction pattern of Tb2Ge2Ir3 (DFT lattice parameters and positions (GGA-PBE); a wavelength of 1.5418 Å).
Intensities are scaled so that the largest is 100.

Largest 6 diffraction maxima, by angle, 10 to 90 degrees two-theta:
2theta, I/Imax, (hkl)
15.76, 60, 1 0 0
28.32, 68, 1 1 -1
36.56, 87, 0 1 2
37.61, 100, 2 1 -1
39.61, 62, 2 0 1
46.07, 59, 0 2 0

Structure:
```
data_Tb2Ge2Ir3
_chemical_formula_sum 'Tb2 Ge2 Ir3'
_symmetry_space_group_name_H-M 'P 1 2/m 1'
_symmetry_Int_Tables_number 10
_cell_length_a 6.0390
_cell_length_b 3.9401
_cell_length_c 6.7567
_cell_angle_alpha 90.00
_cell_angle_beta 111.43
_cell_angle_gamma 90.00
loop_
_symmetry_equiv_pos_as_xyz
'x,y,z'
'-x,-y,-z'
'-x,y,-z'
'x,-y,z'
loop_
_atom_site_label
_atom_site_type_symbol
_atom_site_fract_x
_atom_site_fract_y
_atom_site_fract_z
Tb1 Tb 0.1474 0.0000 0.2711
Ge1 Ge 0.4209 0.5000 0.7101
Ir1 Ir 0.0000 0.5000 0.5000
Ir2 Ir 0.2249 0.5000 0.9759
```

=====

2.
Structure and simulated powder X-ray diffraction pattern of Th2Ge3Ir3 (DFT lattice parameters and positions (GGA-PBE); a wavelength of 1.5418 Å).
Intensities are scaled so that the largest is 100.

Largest 6 diffraction maxima, by angle, 10 to 90 degrees two-theta:
2theta, I/Imax, (hkl)
12.73, 27, 0 0 3
30.22, 100, 1 0 0
34.39, 29, 0 0 8
43.26, 38, 1 1 0
46.42, 51, 1 0 8
56.39, 29, 1 1 8

Structure:
```
data_Th2Ge3Ir3
_chemical_formula_sum 'Th2 Ge3 Ir3'
_symmetry_space_group_name_H-M 'P 4/m m m'
_symmetry_Int_Tables_number 123
_symmetry_space_group_name_Hall '-P 4 2'
_cell_length_a 2.9576
_cell_length_b 2.9576
_cell_length_c 20.8643
_cell_angle_alpha 90.00
_cell_angle_beta 90.00
_cell_angle_gamma 90.00
loop_
_atom_site_label
_atom_site_type_symbol
_atom_site_fract_x
_atom_site_fract_y
_atom_site_fract_z
Th1 Th 0.0000 0.0000 0.2398
Ge1 Ge 0.0000 0.0000 0.0000
Ge2 Ge 0.0000 0.0000 0.3861
Ir1 Ir 0.0000 0.0000 0.1164
Ir2 Ir 0.0000 0.0000 0.5000
```

=====

3.
Structure and simulated powder X-ray diffraction pattern of ThGe4Ir2 (DFT lattice parameters and positions (GGA-PBE); a wavelength of 1.5418 Å).
Intensities are scaled so that the largest is 100.

Largest 6 diffraction maxima, by angle, 10 to 90 degrees two-theta:
2theta, I/Imax, (hkl)
28.21, 22, 2 0 2
35.08, 100, 2 1 2
35.78, 64, 5 1 1
38.92, 35, 7 0 1
41.55, 49, 0 2 0
46.37, 39, 2 1 3

Structure:
```
data_ThGe4Ir2
_chemical_formula_sum 'Th4 Ge16 Ir8'
_symmetry_space_group_name_H-M 'P n m a'
_symmetry_Int_Tables_number 62
_cell_length_a 17.2232
_cell_length_b 4.3467
_cell_length_c 6.8027
_cell_angle_alpha 90.00
_cell_angle_beta 90.00
_cell_angle_gamma 90.00
loop_
_symmetry_equiv_pos_as_xyz
'x,y,z'
'-x,-y,-z'
'-x+1/2,-y,z+1/2'
'x+1/2,y,-z+1/2'
'x+1/2,-y+1/2,-z+1/2'
'-x+1/2,y+1/2,z+1/2'
'-x,y+1/2,-z'
'x,-y+1/2,z'
loop_
_atom_site_label
_atom_site_type_symbol
_atom_site_fract_x
_atom_site_fract_y
_atom_site_fract_z
Th1 Th 0.1414 0.2500 0.0085
Ge1 Ge 0.0347 0.7500 0.8589
Ge2 Ge 0.0651 0.2500 0.4698
Ge3 Ge 0.1801 0.7500 0.3191
Ge4 Ge 0.1936 0.7500 0.7259
Ir1 Ir 0.0298 0.7500 0.2449
Ir2 Ir 0.2122 0.2500 0.5294
```

=====

4.
Structure and simulated powder X-ray diffraction pattern of Ti2Ge2Ir (DFT lattice parameters and positions (GGA-PBE); a wavelength of 1.5418 Å).
Intensities are scaled so that the largest is 100.

Largest 6 diffraction maxima, by angle, 10 to 90 degrees two-theta:
2theta, I/Imax, (hkl)
19.40, 33, 1 1 0
23.94, 42, 0 0 2
36.83, 43, 2 0 2
39.44, 100, 2 2 0
44.26, 81, 3 1 0
50.93, 42, 3 1 2

Structure:
```
data_Ti2Ge2Ir
_chemical_formula_sum 'Ti8 Ge8 Ir4'
_symmetry_space_group_name_H-M 'P 4/m n c'
_symmetry_Int_Tables_number 128
_symmetry_space_group_name_Hall '-P 4 2n'
_cell_length_a 6.4716
_cell_length_b 6.4716
_cell_length_c 7.4332
_cell_angle_alpha 90.00
_cell_angle_beta 90.00
_cell_angle_gamma 90.00
loop_
_atom_site_label
_atom_site_type_symbol
_atom_site_fract_x
_atom_site_fract_y
_atom_site_fract_z
Ti1 Ti 0.1569 0.3176 0.0000
Ge1 Ge 0.1354 0.6354 0.2500
Ir1 Ir 0.0000 0.0000 0.3039
```

=====

5.
Structure and simulated powder X-ray diffraction pattern of TiGeIr (DFT lattice parameters and positions (GGA-PBE); a wavelength of 1.5418 Å).
Intensities are scaled so that the largest is 100.

Largest 6 diffraction maxima, by angle, 10 to 90 degrees two-theta:
2theta, I/Imax, (hkl)
25.74, 100, 1 1 0
30.15, 62, 1 0 2
37.01, 41, 1 1 2
40.05, 87, 2 0 2
45.39, 84, 3 0 0
48.22, 72, 2 1 2

Structure:
```
data_TiGeIr
_chemical_formula_sum 'Ti6 Ge6 Ir6'
_symmetry_space_group_name_H-M 'P -6 2 c'
_symmetry_Int_Tables_number 190
_symmetry_space_group_name_Hall 'P -6c -2c'
_cell_length_a 6.9223
_cell_length_b 6.9223
_cell_length_c 6.8204
_cell_angle_alpha 90.00
_cell_angle_beta 90.00
_cell_angle_gamma 120.00
loop_
_atom_site_label
_atom_site_type_symbol
_atom_site_fract_x
_atom_site_fract_y
_atom_site_fract_z
Ti1 Ti 0.0294 0.6247 0.2500
Ge1 Ge 0.0000 0.2775 0.0000
Ir1 Ir 0.0000 0.0000 0.2500
Ir2 Ir 0.3333 0.6667 0.5395
```

=====

6.
Structure and simulated powder X-ray diffraction pattern of TiGe2Ir (DFT lattice parameters and positions (GGA-PBE); a wavelength of 1.5418 Å).
Intensities are scaled so that the largest is 100.

Largest 6 diffraction maxima, by angle, 10 to 90 degrees two-theta:
2theta, I/Imax, (hkl)
21.61, 31, 1 0 0
32.97, 22, 1 0 1
39.77, 100, 1 1 1
44.04, 37, 2 0 0
69.16, 19, 2 0 2
78.08, 27, 3 1 1

Structure:
```
data_TiGe2Ir
_chemical_formula_sum 'Ti1 Ge2 Ir1'
_symmetry_space_group_name_H-M 'P 4/m m m'
_symmetry_Int_Tables_number 123
_symmetry_space_group_name_Hall '-P 4 2'
_cell_length_a 4.1127
_cell_length_b 4.1127
_cell_length_c 3.6185
_cell_angle_alpha 90.00
_cell_angle_beta 90.00
_cell_angle_gamma 90.00
loop_
_atom_site_label
_atom_site_type_symbol
_atom_site_fract_x
_atom_site_fract_y
_atom_site_fract_z
Ti1 Ti 0.0000 0.0000 0.0000
Ge1 Ge 0.0000 0.5000 0.5000
Ir1 Ir 0.5000 0.5000 0.0000
```

=====

7.
Structure and simulated powder X-ray diffraction pattern of Ti3GeIr (DFT lattice parameters and positions (GGA-PBE); a wavelength of 1.5418 Å).
Intensities are scaled so that the largest is 100.

Largest 6 diffraction maxima, by angle, 10 to 90 degrees two-theta:
2theta, I/Imax, (hkl)
19.85, 75, 2 0 -2
20.08, 100, 1 1 -1
25.74, 42, 1 1 2
40.32, 54, 4 0 -4
40.78, 70, 0 2 3
42.37, 46, 2 2 1

Structure:
```
data_Ti3GeIr
_chemical_formula_sum 'Ti24 Ge8 Ir8'
_symmetry_space_group_name_H-M 'C 1 2/c 1'
_symmetry_Int_Tables_number 15
_cell_length_a 9.5402
_cell_length_b 5.0833
_cell_length_c 14.2288
_cell_angle_alpha 90.00
_cell_angle_beta 108.66
_cell_angle_gamma 90.00
loop_
_symmetry_equiv_pos_as_xyz
'x,y,z'
'-x,-y,-z'
'-x,y,-z+1/2'
'x,-y,z+1/2'
'x+1/2,y+1/2,z'
'-x+1/2,-y+1/2,-z'
'-x+1/2,y+1/2,-z+1/2'
'x+1/2,-y+1/2,z+1/2'
loop_
_atom_site_label
_atom_site_type_symbol
_atom_site_fract_x
_atom_site_fract_y
_atom_site_fract_z
Ti1 Ti 0.1008 0.0013 0.0934
Ti2 Ti 0.1419 0.4537 0.7187
Ti3 Ti 0.1959 0.1272 0.9132
Ge1 Ge 0.0000 0.0414 0.2500
Ge2 Ge 0.0000 0.5000 0.0000
Ir1 Ir 0.1437 0.3514 0.3940
```

=====

8.
Structure and simulated powder X-ray diffraction pattern of TiGeIr (DFT lattice parameters and positions (GGA-PBE); a wavelength of 1.5418 Å).
Intensities are scaled so that the largest is 100.

Largest 6 diffraction maxima, by angle, 10 to 90 degrees two-theta:
2theta, I/Imax, (hkl)
23.96, 72, 1 0 0
31.07, 36, 0 0 1
39.61, 100, 1 0 1
42.15, 97, 1 1 0
53.27, 49, 1 1 1
59.22, 30, 2 0 1

Structure:
```
data_TiGeIr
_chemical_formula_sum 'Ti1 Ge1 Ir1'
_symmetry_space_group_name_H-M 'P -6 m 2'
_symmetry_Int_Tables_number 187
_symmetry_space_group_name_Hall 'P -6 2'
_cell_length_a 4.2881
_cell_length_b 4.2881
_cell_length_c 2.8786
_cell_angle_alpha 90.00
_cell_angle_beta 90.00
_cell_angle_gamma 120.00
loop_
_atom_site_label
_atom_site_type_symbol
_atom_site_fract_x
_atom_site_fract_y
_atom_site_fract_z
Ti1 Ti 0.0000 0.0000 0.0000
Ge1 Ge 0.6667 0.3333 0.5000
Ir1 Ir 0.3333 0.6667 0.5000
```

=====

9.
Structure and simulated powder X-ray diffraction pattern of TmGe3Ir2 (DFT lattice parameters and positions (GGA-PBE); a wavelength of 1.5418 Å).
Intensities are scaled so that the largest is 100.

Largest 6 diffraction maxima, by angle, 10 to 90 degrees two-theta:
2theta, I/Imax, (hkl)
33.91, 100, 3 1 -2
35.07, 71, 3 1 1
36.55, 86, 5 1 -1
36.93, 62, 1 1 2
45.50, 61, 5 1 -3
46.23, 74, 0 2 0

Structure:
```
data_TmGe3Ir2
_chemical_formula_sum 'Tm4 Ge12 Ir8'
_symmetry_space_group_name_H-M 'C 1 2/m 1'
_symmetry_Int_Tables_number 12
_cell_length_a 15.7671
_cell_length_b 3.9272
_cell_length_c 7.5719
_cell_angle_alpha 90.00
_cell_angle_beta 113.64
_cell_angle_gamma 90.00
loop_
_symmetry_equiv_pos_as_xyz
'x,y,z'
'-x,-y,-z'
'-x,y,-z'
'x,-y,z'
'x+1/2,y+1/2,z'
'-x+1/2,-y+1/2,-z'
'-x+1/2,y+1/2,-z'
'x+1/2,-y+1/2,z'
loop_
_atom_site_label
_atom_site_type_symbol
_atom_site_fract_x
_atom_site_fract_y
_atom_site_fract_z
Tm1 Tm 0.1255 0.0000 0.1506
Ge1 Ge 0.0450 0.0000 0.6712
Ge2 Ge 0.1649 0.5000 0.4672
Ge3 Ge 0.1825 0.5000 0.9028
Ir1 Ir 0.0081 0.5000 0.8256
Ir2 Ir 0.2138 0.0000 0.7117
```

=====

10.
Structure and simulated powder X-ray diffraction pattern of Tm4Ge6Ir7 (DFT lattice parameters and positions (GGA-PBE); a wavelength of 1.5418 Å).
Intensities are scaled so that the largest is 100.

Largest 6 diffraction maxima, by angle, 10 to 90 degrees two-theta:
2theta, I/Imax, (hkl)
26.13, 24, 2 1 1
37.29, 100, 2 2 2
40.40, 39, 3 2 1
43.32, 70, 4 0 0
62.94, 40, 4 4 0
75.49, 31, 6 2 2

Structure:
```
data_Tm4Ge6Ir7
_chemical_formula_sum 'Tm8 Ge12 Ir14'
_symmetry_space_group_name_H-M 'I m -3 m'
_symmetry_Int_Tables_number 229
_symmetry_space_group_name_Hall '-I 4 2 3'
_cell_length_a 8.3540
_cell_length_b 8.3540
_cell_length_c 8.3540
_cell_angle_alpha 90.00
_cell_angle_beta 90.00
_cell_angle_gamma 90.00
loop_
_atom_site_label
_atom_site_type_symbol
_atom_site_fract_x
_atom_site_fract_y
_atom_site_fract_z
Tm1 Tm 0.2500 0.2500 0.2500
Ge1 Ge 0.0000 0.0000 0.3163
Ir1 Ir 0.0000 0.0000 0.0000
Ir2 Ir 0.0000 0.2500 0.5000
```

=====

11.
Structure and simulated powder X-ray diffraction pattern of Tm2Ge2Ir5 (DFT lattice parameters and positions (GGA-PBE); a wavelength of 1.5418 Å).
Intensities are scaled so that the largest is 100.

Largest 6 diffraction maxima, by angle, 10 to 90 degrees two-theta:
2theta, I/Imax, (hkl)
36.62, 100, 1 1 2
43.20, 20, 1 1 3
43.69, 42, 2 0 0
60.83, 15, 2 0 4
63.50, 14, 2 2 0
75.59, 25, 3 1 2

Structure:
```
data_Tm2Ge2Ir5
_chemical_formula_sum 'Tm2 Ge2 Ir5'
_symmetry_space_group_name_H-M 'P 4/m m m'
_symmetry_Int_Tables_number 123
_symmetry_space_group_name_Hall '-P 4 2'
_cell_length_a 4.1439
_cell_length_b 4.1439
_cell_length_c 8.9835
_cell_angle_alpha 90.00
_cell_angle_beta 90.00
_cell_angle_gamma 90.00
loop_
_atom_site_label
_atom_site_type_symbol
_atom_site_fract_x
_atom_site_fract_y
_atom_site_fract_z
Tm1 Tm 0.0000 0.0000 0.0000
Tm2 Tm 0.0000 0.0000 0.5000
Ge1 Ge 0.5000 0.5000 0.1357
Ir1 Ir 0.0000 0.5000 0.2770
Ir2 Ir 0.5000 0.5000 0.5000
```

=====

12.
Structure and simulated powder X-ray diffraction pattern of Tm4Ge2Ir (DFT lattice parameters and positions (GGA-PBE); a wavelength of 1.5418 Å).
Intensities are scaled so that the largest is 100.

Largest 6 diffraction maxima, by angle, 10 to 90 degrees two-theta:
2theta, I/Imax, (hkl)
28.58, 100, 1 1 1
28.82, 80, 3 1 -1
29.51, 41, 4 0 -2
39.52, 59, 3 1 1
41.93, 50, 0 2 0
43.16, 87, 3 1 -3

Structure:
```
data_Tm4Ge2Ir
_chemical_formula_sum 'Tm8 Ge4 Ir2'
_symmetry_space_group_name_H-M 'C 1 2/m 1'
_symmetry_Int_Tables_number 12
_cell_length_a 13.4667
_cell_length_b 4.3092
_cell_length_c 7.1976
_cell_angle_alpha 90.00
_cell_angle_beta 121.30
_cell_angle_gamma 90.00
loop_
_symmetry_equiv_pos_as_xyz
'x,y,z'
'-x,-y,-z'
'-x,y,-z'
'x,-y,z'
'x+1/2,y+1/2,z'
'-x+1/2,-y+1/2,-z'
'-x+1/2,y+1/2,-z'
'x+1/2,-y+1/2,z'
loop_
_atom_site_label
_atom_site_type_symbol
_atom_site_fract_x
_atom_site_fract_y
_atom_site_fract_z
Tm1 Tm 0.1122 0.0000 0.2960
Tm2 Tm 0.1296 0.5000 0.7809
Ge1 Ge 0.2341 0.5000 0.2348
Ir1 Ir 0.0000 0.5000 0.0000
```